[1]
Calculated powder diffractogram of Ac16Ru5Rh3 for Cu Kα, 1.54184 Å, from a DFT-relaxed cell (GGA-PBE, Alexandria).
Lines closer than 0.1° are merged.

Peak list (10 most intense, 2θ from 15° to 90°, in order of rising 2θ)
(4 0 -1), 3.588 Å, rel. 18
(0 0 4), 3.456 Å, rel. 19
(2 2 2), 3.273 Å, rel. 100
(2 2 -3), 2.892 Å, rel. 40
(4 0 5), 2.218 Å, rel. 23
(0 4 0), 2.145 Å, rel. 41
(2 2 6), 1.958 Å, rel. 21
(6 2 4), 1.823 Å, rel. 19
(8 0 2), 1.794 Å, rel. 18
(8 4 2), 1.376 Å, rel. 14

Structure:
```
data_Ac16Ru5Rh3
_chemical_formula_sum 'Ac32 Ru10 Rh6'
_cell_length_a 14.8551
_cell_length_b 8.5845
_cell_length_c 13.8227
_cell_angle_alpha 90.00
_cell_angle_beta 90.12
_cell_angle_gamma 90.00
_space_group_name_H-M_alt 'C 1 m 1'
_space_group_IT_number 8
loop_
_space_group_symop_operation_xyz
'x,y,z'
'x,-y,z'
'x+1/2,y+1/2,z'
'x+1/2,-y+1/2,z'
loop_
_atom_site_label
_atom_site_fract_x
_atom_site_fract_y
_atom_site_fract_z
Ac1 0.0000 0.0000 0.0000
Ac2 0.0014 0.0000 0.4997
Ac3 0.0096 0.5000 0.5131
Ac4 0.0837 0.2493 0.7673
Ac5 0.1632 0.5000 0.2727
Ac6 0.1663 0.0000 0.2696
Ac7 0.2421 0.2659 0.5135
Ac8 0.2526 0.2319 0.0152
Ac9 0.3286 0.0000 0.7723
Ac10 0.3321 0.5000 0.7648
Ac11 0.4179 0.2490 0.2673
Ac12 0.4868 0.0000 0.0150
Ru1 0.0819 0.2496 0.3857
Ru2 0.1636 0.0000 0.8857
Ru3 0.1675 0.5000 0.6599
Ru4 0.3349 0.0000 0.1571
Rh1 0.3326 0.5000 0.3861
Rh2 0.4146 0.2507 0.8857
```

=====

[2]
Calculated powder diffractogram of Sr7Ca for Cu Kα, 1.54184 Å, from a DFT-relaxed cell (GGA-PBE, Alexandria).
Lines closer than 0.1° are merged.

Peak list (10 most intense, 2θ from 15° to 90°, in order of rising 2θ)
(2 0 0), 3.641 Å, rel. 23
(0 0 2), 3.487 Å, rel. 27
(2 0 1), 3.228 Å, rel. 100
(2 0 2), 2.519 Å, rel. 17
(2 2 0), 2.102 Å, rel. 20
(2 0 3), 1.960 Å, rel. 24
(2 2 2), 1.800 Å, rel. 24
(4 0 1), 1.762 Å, rel. 17
(4 2 1), 1.350 Å, rel. 14
(4 2 3), 1.184 Å, rel. 9

Structure:
```
data_Sr7Ca
_chemical_formula_sum 'Sr7 Ca1'
_cell_length_a 8.4089
_cell_length_b 8.4089
_cell_length_c 6.9749
_cell_angle_alpha 90.00
_cell_angle_beta 90.00
_cell_angle_gamma 120.00
_space_group_name_H-M_alt 'P -6 m 2'
_space_group_IT_number 187
_space_group_name_Hall 'P -6 2'
loop_
_atom_site_label
_atom_site_fract_x
_atom_site_fract_y
_atom_site_fract_z
Sr1 0.0000 0.0000 0.0000
Sr2 0.1666 0.3331 0.5000
Sr3 0.5017 0.0035 0.0000
Ca1 0.6667 0.3333 0.5000
```

=====

[3]
Calculated powder diffractogram of ZrAlCu4 for Cu Kα, 1.54184 Å, from a DFT-relaxed cell (GGA-PBE, Alexandria).
Lines closer than 0.1° are merged.

Peak list (10 most intense, 2θ from 15° to 90°, in order of rising 2θ)
(2 0 2), 2.798 Å, rel. 17
(1 0 3), 2.414 Å, rel. 23
(0 1 2), 2.218 Å, rel. 46
(2 1 1), 2.188 Å, rel. 100
(2 0 3), 2.157 Å, rel. 78
(1 1 2), 2.143 Å, rel. 40
(4 0 0), 2.077 Å, rel. 52
(2 1 2), 1.956 Å, rel. 16
(4 1 2), 1.516 Å, rel. 24
(2 2 3), 1.155 Å, rel. 18

Structure:
```
data_ZrAlCu4
_chemical_formula_sum 'Zr2 Al2 Cu8'
_cell_length_a 8.3073
_cell_length_b 2.7367
_cell_length_c 7.5697
_cell_angle_alpha 90.00
_cell_angle_beta 90.00
_cell_angle_gamma 90.00
_space_group_name_H-M_alt 'P m m a'
_space_group_IT_number 51
loop_
_space_group_symop_operation_xyz
'x,y,z'
'-x,-y,-z'
'-x+1/2,-y,z'
'x+1/2,y,-z'
'x+1/2,-y,-z'
'-x+1/2,y,z'
'-x,y,-z'
'x,-y,z'
loop_
_atom_site_label
_atom_site_fract_x
_atom_site_fract_y
_atom_site_fract_z
Zr1 0.2500 0.0000 0.0502
Al1 0.2500 0.0000 0.6712
Cu1 0.0000 0.0000 0.5000
Cu2 0.0209 0.5000 0.8062
Cu3 0.2500 0.5000 0.3823
```

=====

[4]
Calculated powder diffractogram of PtS6Cl for Cu Kα, 1.54184 Å, from a DFT-relaxed cell (GGA-PBE, Alexandria).
Lines closer than 0.1° are merged.

Peak list (10 most intense, 2θ from 15° to 90°, in order of rising 2θ)
(0 1 0), 5.790 Å, rel. 100
(1 -1 0), 4.480 Å, rel. 17
(1 1 -1), 4.384 Å, rel. 10
(1 -1 1), 3.923 Å, rel. 33
(1 -2 1), 2.832 Å, rel. 21
(2 1 -2), 2.633 Å, rel. 15
(0 1 2), 2.519 Å, rel. 11
(1 -1 3), 2.112 Å, rel. 10
(-3 1 1), 1.965 Å, rel. 8
(1 0 3), 1.938 Å, rel. 8

Structure:
```
data_PtS6Cl
_chemical_formula_sum 'Pt1 S6 Cl1'
_cell_length_a 6.2164
_cell_length_b 6.3855
_cell_length_c 7.8066
_cell_angle_alpha 113.39
_cell_angle_beta 105.56
_cell_angle_gamma 91.20
_space_group_name_H-M_alt 'P -1'
_space_group_IT_number 2
loop_
_space_group_symop_operation_xyz
'x,y,z'
'-x,-y,-z'
loop_
_atom_site_label
_atom_site_fract_x
_atom_site_fract_y
_atom_site_fract_z
Pt1 0.0000 0.0000 0.0000
S1 0.1133 0.8471 0.6014
S2 0.1607 0.2315 0.3289
S3 0.2797 0.0774 0.8790
Cl1 0.5000 0.0000 0.5000
```

=====

[5]
Calculated powder diffractogram of TbCe4Os4 for Cu Kα, 1.54184 Å, from a DFT-relaxed cell (GGA-PBE, Alexandria).
Lines closer than 0.1° are merged.

Peak list (10 most intense, 2θ from 15° to 90°, in order of rising 2θ)
(1 1 2), 3.320 Å, rel. 18
(2 1 1), 2.952 Å, rel. 100
(1 0 3), 2.747 Å, rel. 56
(2 2 0), 2.471 Å, rel. 48
(2 2 2), 2.161 Å, rel. 55
(3 1 1), 2.146 Å, rel. 18
(3 0 3), 1.837 Å, rel. 53
(4 0 0), 1.748 Å, rel. 24
(2 2 4), 1.660 Å, rel. 30
(4 3 3), 1.266 Å, rel. 18

Structure:
```
data_TbCe4Os4
_chemical_formula_sum 'Tb2 Ce8 Os8'
_cell_length_a 6.9904
_cell_length_b 6.9904
_cell_length_c 8.9624
_cell_angle_alpha 90.00
_cell_angle_beta 90.00
_cell_angle_gamma 90.00
_space_group_name_H-M_alt 'P 42/n m c'
_space_group_IT_number 137
loop_
_space_group_symop_operation_xyz
'x,y,z'
'-x,-y,-z'
'-y+1/2,x,z+1/2'
'y+1/2,-x,-z+1/2'
'-x+1/2,-y+1/2,z'
'x+1/2,y+1/2,-z'
'y,-x+1/2,z+1/2'
'-y,x+1/2,-z+1/2'
'x+1/2,-y,-z'
'-x+1/2,y,z'
'-y,-x,-z+1/2'
'y,x,z+1/2'
'-x,y+1/2,-z'
'x,-y+1/2,z'
'y+1/2,x+1/2,-z+1/2'
'-y+1/2,-x+1/2,z+1/2'
loop_
_atom_site_label
_atom_site_fract_x
_atom_site_fract_y
_atom_site_fract_z
Tb1 0.2500 0.7500 0.2500
Ce1 0.0037 0.2500 0.1099
Os1 0.0554 0.2500 0.4148
```

=====

[6]
Calculated powder diffractogram of CdHg3Cl8 for Cu Kα, 1.54184 Å, from a DFT-relaxed cell (GGA-PBE, Alexandria).
Lines closer than 0.1° are merged.

Peak list (10 most intense, 2θ from 15° to 90°, in order of rising 2θ)
(2 0 1), 3.477 Å, rel. 45
(0 2 1), 3.339 Å, rel. 86
(2 2 0), 3.242 Å, rel. 27
(4 0 0), 2.908 Å, rel. 58
(2 2 -2), 2.736 Å, rel. 100
(4 2 -1), 2.583 Å, rel. 37
(4 2 -3), 2.100 Å, rel. 30
(2 2 2), 2.002 Å, rel. 39
(6 2 -2), 1.984 Å, rel. 37
(4 2 1), 1.939 Å, rel. 22

Structure:
```
data_CdHg3Cl8
_chemical_formula_sum 'Cd2 Hg6 Cl16'
_cell_length_a 13.8509
_cell_length_b 7.8114
_cell_length_c 7.6686
_cell_angle_alpha 90.00
_cell_angle_beta 122.89
_cell_angle_gamma 90.00
_space_group_name_H-M_alt 'C 1 2/m 1'
_space_group_IT_number 12
loop_
_space_group_symop_operation_xyz
'x,y,z'
'-x,-y,-z'
'-x,y,-z'
'x,-y,z'
'x+1/2,y+1/2,z'
'-x+1/2,-y+1/2,-z'
'-x+1/2,y+1/2,-z'
'x+1/2,-y+1/2,z'
loop_
_atom_site_label
_atom_site_fract_x
_atom_site_fract_y
_atom_site_fract_z
Cd1 0.0000 0.0000 0.0000
Hg1 0.0000 0.5000 0.0000
Hg2 0.2500 0.2500 0.5000
Cl1 0.0072 0.2503 0.2440
Cl2 0.2325 0.0000 0.2382
Cl3 0.2451 0.5000 0.2607
```

=====

[7]
Calculated powder diffractogram of Pm7Si3 for Cu Kα, 1.54184 Å, from a DFT-relaxed cell (GGA-PBE, Alexandria).
Lines closer than 0.1° are merged.

Peak list (10 most intense, 2θ from 15° to 90°, in order of rising 2θ)
(2 0 1), 3.623 Å, rel. 19
(2 1 0), 3.360 Å, rel. 33
(2 1 1), 2.960 Å, rel. 100
(1 0 2), 2.950 Å, rel. 48
(3 0 1), 2.677 Å, rel. 58
(2 2 0), 2.566 Å, rel. 30
(2 0 2), 2.558 Å, rel. 41
(3 3 0), 1.709 Å, rel. 70
(4 3 1), 1.423 Å, rel. 13
(7 1 0), 1.177 Å, rel. 17

Structure:
```
data_Pm7Si3
_chemical_formula_sum 'Pm14 Si6'
_cell_length_a 10.2641
_cell_length_b 10.2641
_cell_length_c 6.2555
_cell_angle_alpha 90.00
_cell_angle_beta 90.00
_cell_angle_gamma 120.00
_space_group_name_H-M_alt 'P 63 m c'
_space_group_IT_number 186
_space_group_name_Hall 'P 6c -2c'
loop_
_atom_site_label
_atom_site_fract_x
_atom_site_fract_y
_atom_site_fract_z
Pm1 0.0671 0.5336 0.0000
Pm2 0.1234 0.2468 0.2534
Pm3 0.3333 0.6667 0.4571
Si1 0.1907 0.3815 0.7080
```

=====

[8]
Calculated powder diffractogram of Be8As6Pd for Cu Kα, 1.54184 Å, from a DFT-relaxed cell (GGA-PBE, Alexandria).
Lines closer than 0.1° are merged.

Peak list (10 most intense, 2θ from 15° to 90°, in order of rising 2θ)
(1 0 0), 5.557 Å, rel. 22
(0 0 4), 3.211 Å, rel. 82
(1 1 1), 3.113 Å, rel. 72
(1 1 2), 2.871 Å, rel. 100
(1 0 4), 2.781 Å, rel. 55
(1 1 3), 2.568 Å, rel. 25
(1 1 5), 2.006 Å, rel. 21
(3 0 0), 1.852 Å, rel. 63
(1 1 6), 1.782 Å, rel. 59
(3 0 4), 1.605 Å, rel. 38

Structure:
```
data_Be8As6Pd
_chemical_formula_sum 'Be16 As12 Pd2'
_cell_length_a 6.4169
_cell_length_b 6.4169
_cell_length_c 12.8535
_cell_angle_alpha 90.00
_cell_angle_beta 90.00
_cell_angle_gamma 120.00
_space_group_name_H-M_alt 'P 63 c m'
_space_group_IT_number 185
_space_group_name_Hall 'P 6c -2'
loop_
_atom_site_label
_atom_site_fract_x
_atom_site_fract_y
_atom_site_fract_z
Be1 0.0000 0.3238 0.0000
Be2 0.0000 0.3392 0.6542
Be3 0.3333 0.6667 0.2555
As1 0.0000 0.0000 0.1082
As2 0.0000 0.3580 0.8256
As3 0.3333 0.6667 0.0712
Pd1 0.0000 0.0000 0.4138
```

=====

[9]
Calculated powder diffractogram of Tl2HgI2Cl2 for Cu Kα, 1.54184 Å, from a DFT-relaxed cell (GGA-PBE, Alexandria).
Lines closer than 0.1° are merged.

Peak list (10 most intense, 2θ from 15° to 90°, in order of rising 2θ)
(2 0 -2), 4.194 Å, rel. 21
(2 0 1), 4.122 Å, rel. 58
(3 1 -1), 3.409 Å, rel. 51
(3 1 0), 3.220 Å, rel. 33
(1 1 -2), 2.967 Å, rel. 100
(5 1 -1), 2.620 Å, rel. 36
(0 2 0), 2.201 Å, rel. 23
(7 1 -2), 2.066 Å, rel. 24
(1 1 3), 1.966 Å, rel. 28
(2 2 1), 1.941 Å, rel. 21

Structure:
```
data_Tl2HgI2Cl2
_chemical_formula_sum 'Tl4 Hg2 I4 Cl4'
_cell_length_a 16.4100
_cell_length_b 4.4017
_cell_length_c 8.3700
_cell_angle_alpha 90.00
_cell_angle_beta 120.33
_cell_angle_gamma 90.00
_space_group_name_H-M_alt 'C 1 2/m 1'
_space_group_IT_number 12
loop_
_space_group_symop_operation_xyz
'x,y,z'
'-x,-y,-z'
'-x,y,-z'
'x,-y,z'
'x+1/2,y+1/2,z'
'-x+1/2,-y+1/2,-z'
'-x+1/2,y+1/2,-z'
'x+1/2,-y+1/2,z'
loop_
_atom_site_label
_atom_site_fract_x
_atom_site_fract_y
_atom_site_fract_z
Tl1 0.1579 0.0000 0.0953
Hg1 0.0000 0.0000 0.5000
I1 0.0308 0.5000 0.2879
Cl1 0.1954 0.0000 0.7688
```

=====

[10]
Calculated powder diffractogram of Mg5Os3 for Cu Kα, 1.54184 Å, from a DFT-relaxed cell (GGA-PBE, Alexandria).
Lines closer than 0.1° are merged.

Peak list (10 most intense, 2θ from 15° to 90°, in order of rising 2θ)
(1 1 0), 5.769 Å, rel. 54
(0 2 0), 4.314 Å, rel. 63
(2 0 1), 2.780 Å, rel. 38
(2 2 1), 2.337 Å, rel. 100
(0 4 0), 2.157 Å, rel. 21
(3 1 1), 2.104 Å, rel. 21
(0 0 2), 1.994 Å, rel. 17
(0 2 2), 1.810 Å, rel. 12
(2 4 1), 1.704 Å, rel. 19
(2 6 1), 1.277 Å, rel. 15

Structure:
```
data_Mg5Os3
_chemical_formula_sum 'Mg10 Os6'
_cell_length_a 7.7588
_cell_length_b 8.6278
_cell_length_c 3.9871
_cell_angle_alpha 90.00
_cell_angle_beta 90.00
_cell_angle_gamma 90.00
_space_group_name_H-M_alt 'C m m m'
_space_group_IT_number 65
_space_group_name_Hall '-C 2 2'
loop_
_atom_site_label
_atom_site_fract_x
_atom_site_fract_y
_atom_site_fract_z
Mg1 0.0000 0.0000 0.0000
Mg2 0.0000 0.2430 0.5000
Mg3 0.2500 0.2500 0.0000
Os1 0.0000 0.5000 0.0000
Os2 0.2212 0.5000 0.5000
```

=====

[11]
Calculated powder diffractogram of K2Ga4Ni for Cu Kα, 1.54184 Å, from a DFT-relaxed cell (GGA-PBE, Alexandria).
Lines closer than 0.1° are merged.

Peak list (10 most intense, 2θ from 15° to 90°, in order of rising 2θ)
(1 0 1), 4.491 Å, rel. 96
(1 1 0), 3.274 Å, rel. 29
(1 1 2), 3.085 Å, rel. 37
(0 0 6), 3.072 Å, rel. 48
(1 1 4), 2.669 Å, rel. 100
(2 0 0), 2.315 Å, rel. 96
(1 0 9), 1.873 Å, rel. 29
(2 0 6), 1.849 Å, rel. 42
(2 2 0), 1.637 Å, rel. 31
(2 0 8), 1.633 Å, rel. 30

Structure:
```
data_K2Ga4Ni
_chemical_formula_sum 'K4 Ga8 Ni2'
_cell_length_a 4.6304
_cell_length_b 4.6304
_cell_length_c 18.4304
_cell_angle_alpha 90.00
_cell_angle_beta 90.00
_cell_angle_gamma 90.00
_space_group_name_H-M_alt 'I 4/m m m'
_space_group_IT_number 139
_space_group_name_Hall '-I 4 2'
loop_
_atom_site_label
_atom_site_fract_x
_atom_site_fract_y
_atom_site_fract_z
K1 0.0000 0.0000 0.1729
Ga1 0.0000 0.0000 0.3744
Ga2 0.0000 0.5000 0.0000
Ni1 0.0000 0.0000 0.5000
```